Calculated X-ray powder pattern
Compound: VZnMo
Radiation: Cu Kα X-rays
Structure: a DFT-relaxed cell (GGA-PBE, Alexandria)
No peak broadening, texture or thermal motion is included.

Most intense lines, 2θ from 10° to 90°, sorted by position:
2θ (°)  intensity  (hkl)
23.22  16  1 0 0
40.80  100  1 1 0
42.37  94  1 0 1
47.47  2  2 0 0
54.78  2  1 1 1
60.28  31  0 2 1
74.29  16  3 0 0
75.36  32  2 1 1
78.57  13  0 1 2
88.41  10  2 2 0

Crystal structure
a = 4.4229 Å, b = 4.4229 Å, c = 2.5683 Å
α = 90.00°, β = 90.00°, γ = 120.00°
Space group P3m1 (No. 156)
One atom of each set of equivalent atoms:
V: 0.0000 0.0000 0.0000 [1 per cell]
Zn: 0.6667 0.3333 0.3359 [1 per cell]
Mo: 0.3333 0.6667 0.7037 [1 per cell]